Record 1
Ho2Tm2Cd: calculated X-ray powder pattern (a wavelength of 1.5418 Å), based on the GGA-PBE geometry in Alexandria.

Structure:
```
data_Ho2Tm2Cd
_chemical_formula_sum 'Ho4 Tm4 Cd2'
_cell_length_a 3.5105
_cell_length_b 3.5105
_cell_length_c 23.2294
_cell_angle_alpha 90.00
_cell_angle_beta 90.00
_cell_angle_gamma 90.00
_space_group_name_H-M_alt 'P 1'
_space_group_IT_number 1
loop_
_space_group_symop_operation_xyz
'x,y,z'
loop_
_atom_site_label
_atom_site_fract_x
_atom_site_fract_y
_atom_site_fract_z
Ho1 0.0000 0.0000 0.1965
Ho2 0.0000 0.0000 0.8035
Ho3 0.5000 0.5000 0.3035
Ho4 0.5000 0.5000 0.6965
Tm1 0.0000 0.0000 0.4102
Tm2 0.0000 0.0000 0.5898
Tm3 0.5000 0.5000 0.0898
Tm4 0.5000 0.5000 0.9102
Cd1 0.0000 0.0000 0.0000
Cd2 0.5000 0.5000 0.5000
```

Principal peaks in the range 2θ = 10–90°, in order of rising 2θ:
2θ/deg  intensity  index
31.95  100  1 0 5
36.19  38  1 1 0
38.76  13  0 0 10
52.11  13  2 0 0
54.07  19  1 1 10
62.44  29  2 1 5
65.93  8  1 0 15
66.80  10  2 0 10
85.59  6  3 0 5
87.97  6  3 1 0
88.73  8  2 1 15
89.53  5  2 2 10

Record 2
NpTc2P2Rh: calculated X-ray powder pattern (a wavelength of 1.5418 Å), based on the GGA-PBE geometry in Alexandria.

Structure:
```
data_NpTc2P2Rh
_chemical_formula_sum 'Np2 Tc4 P4 Rh2'
_cell_length_a 4.0093
_cell_length_b 7.6990
_cell_length_c 5.9780
_cell_angle_alpha 90.00
_cell_angle_beta 90.00
_cell_angle_gamma 90.00
_space_group_name_H-M_alt 'P 1'
_space_group_IT_number 1
loop_
_space_group_symop_operation_xyz
'x,y,z'
loop_
_atom_site_label
_atom_site_fract_x
_atom_site_fract_y
_atom_site_fract_z
Np1 0.0000 0.0622 0.0000
Np2 0.0000 0.9378 0.5000
Tc1 0.0000 0.3297 0.3994
Tc2 0.0000 0.6703 0.8994
Tc3 0.5000 0.4392 0.0615
Tc4 0.5000 0.5608 0.5615
P1 0.0000 0.3866 0.7861
P2 0.0000 0.6134 0.2861
P3 0.5000 0.1813 0.2901
P4 0.5000 0.8187 0.7901
Rh1 0.5000 0.2069 0.6856
Rh2 0.5000 0.7931 0.1856
```

Principal peaks in the range 2θ = 10–90°, in order of rising 2θ:
2θ/deg  intensity  index
11.49  23  0 1 0
25.04  45  1 1 0
27.56  22  0 2 1
35.65  100  1 2 1
37.53  54  1 0 2
38.14  81  0 3 1
39.38  84  1 1 2
41.79  39  1 3 0
45.23  45  2 0 0
55.13  19  2 0 2
60.62  42  2 3 1
72.19  26  1 4 3